(1)
Structure and computed powder X-ray diffraction pattern of MnPd2S3 (a cell relaxed with PBE; Cu Kα, 1.54184 Å).
Neutral-atom scattering factors, no anomalous dispersion.

Structure:
Cell lengths 6.2132, 6.2132, 6.2132 Å; angles 146.73, 131.77, 59.85 degrees
Atoms (fractional coordinates):
1 Mn 0.0000 0.0000 0.0000
2 Pd 0.3352 0.3352 0.0000
3 Pd 0.6648 0.6648 0.0000
4 S 0.1604 0.6604 0.5000
5 S 0.5000 0.0000 0.5000
6 S 0.8396 0.3396 0.5000

Main lines, by angle (5 to 70 degrees two-theta):
| 2θ (°) | I_rel |
| --- | --- |
| 30.50 | 33 |
| 30.69 | 32 |
| 35.36 | 51 |
| 35.53 | 100 |
| 50.87 | 17 |
| 51.00 | 67 |
| 63.47 | 17 |
| 63.91 | 17 |


(2)
Structure and computed powder X-ray diffraction pattern of LaTbPmNd3 (a cell relaxed with PBE; Cu Kα, 1.54184 Å).
Neutral-atom scattering factors, no anomalous dispersion.

Structure:
Cell lengths 10.7705, 10.7705, 6.9382 Å; angles 90.90, 90.90, 31.53 degrees
Atoms (fractional coordinates):
1 La 0.1464 0.1464 0.0276
2 La 0.8536 0.8536 0.9724
3 Tb 0.1445 0.1445 0.4750
4 Tb 0.8555 0.8555 0.5250
5 Pm 0.4438 0.4438 0.7362
6 Pm 0.5562 0.5562 0.2638
7 Nd 0.0187 0.0187 0.7481
8 Nd 0.2805 0.2805 0.7408
9 Nd 0.3388 0.3388 0.2567
10 Nd 0.6612 0.6612 0.7433
11 Nd 0.7195 0.7195 0.2592
12 Nd 0.9813 0.9813 0.2519

Main lines, by angle (5 to 70 degrees two-theta):
| 2θ (°) | I_rel |
| --- | --- |
| 29.22 | 66 |
| 29.53 | 73 |
| 30.55 | 100 |
| 30.78 | 24 |
| 32.52 | 64 |
| 32.86 | 65 |
| 33.93 | 59 |
| 40.36 | 24 |


(3)
Structure and computed powder X-ray diffraction pattern of Pr4TeS2N (a cell relaxed with PBE; Cu Kα, 1.54184 Å).
Neutral-atom scattering factors, no anomalous dispersion.

Structure:
Cell lengths 6.6544, 6.6544, 6.6544 Å; angles 112.53, 112.53, 103.52 degrees
Atoms (fractional coordinates):
1 Pr 0.1531 0.1531 0.6272
2 Pr 0.4741 0.8469 0.0000
3 Pr 0.5259 0.5259 0.3728
4 Pr 0.8469 0.4741 0.0000
5 Te 0.0000 0.0000 0.0000
6 S 0.2500 0.7500 0.5000
7 S 0.7500 0.2500 0.5000
8 N 0.5000 0.5000 0.0000

Main lines, by angle (5 to 70 degrees two-theta):
| 2θ (°) | I_rel |
| --- | --- |
| 27.57 | 91 |
| 29.11 | 100 |
| 34.32 | 27 |
| 34.86 | 25 |
| 38.12 | 27 |
| 44.57 | 25 |
| 52.22 | 30 |
| 55.98 | 27 |